No. 1
The following is a simulated powder X-ray diffraction pattern of YSb6Pd12. It was derived from DFT lattice parameters and positions (GGA-PBE), using Cu Kα (λ = 1.5418 Å).

Top 10 peaks for 2θ = 10–90°, sorted by position:
2θ/deg, intensity
24.6, 25
30.1, 27
32.4, 67
33.3, 35
38.8, 84
39.6, 100
42.7, 38
43.8, 48
47.9, 66
76.5, 32

Structural model:
```
19
Lattice="6.044 3.490 3.001 -6.044 3.490 3.001 0.000 -6.979 3.001" Properties=species:S:1:pos:R:3 pbc="T T T"
Y 0.000 0.000 0.000
Sb 0.000 -2.868 3.631
Sb -2.484 1.434 3.631
Sb -2.484 -1.434 5.370
Sb 2.484 1.434 3.631
Sb 2.484 -1.434 5.370
Sb 0.000 2.868 5.370
Pd -1.448 -0.836 2.478
Pd -2.288 -3.963 4.501
Pd -4.576 0.000 4.501
Pd 1.448 -0.836 2.478
Pd 0.000 1.672 2.478
Pd 2.288 -3.963 4.501
Pd -2.288 3.963 4.501
Pd 0.000 -1.672 6.524
Pd -1.448 0.836 6.524
Pd 4.576 0.000 4.501
Pd 2.288 3.963 4.501
Pd 1.448 0.836 6.524
```



No. 2
The following is a simulated powder X-ray diffraction pattern of TcMo. It was derived from DFT lattice parameters and positions (GGA-PBE), using Cu Kα (λ = 1.5418 Å).

Top 10 peaks for 2θ = 10–90°, sorted by position:
2θ/deg, intensity
40.5, 34
40.7, 66
40.9, 100
58.9, 22
59.2, 10
73.7, 11
74.0, 16
74.3, 16
74.5, 21
88.5, 7

Structural model:
```
4
Lattice="3.123 0.000 0.000 0.006 4.412 0.000 0.018 0.005 4.456" Properties=species:S:1:pos:R:3 pbc="T T T"
Tc 0.698 2.192 1.083
Tc 2.450 2.226 3.373
Mo 0.768 4.407 3.313
Mo 2.380 0.010 1.143
```



No. 3
The following is a simulated powder X-ray diffraction pattern of Zr3Ag3C. It was derived from DFT lattice parameters and positions (GGA-PBE), using Cu Kα (λ = 1.5418 Å).

Top 10 peaks for 2θ = 10–90°, sorted by position:
2θ/deg, intensity
12.1, 10
30.9, 7
34.8, 28
37.0, 100
40.4, 26
43.0, 11
62.4, 30
63.9, 8
68.1, 6
74.9, 19

Structural model:
```
28
Lattice="0.000 6.310 6.310 6.310 0.000 6.310 6.310 6.310 0.000" Properties=species:S:1:pos:R:3 pbc="T T T"
Zr 4.733 4.733 0.750
Zr 4.733 0.750 4.733
Zr 8.715 4.733 4.733
Zr 7.888 7.888 3.906
Zr 7.888 3.906 7.888
Zr 11.870 7.888 7.888
Zr 0.750 4.733 4.733
Zr 4.733 8.715 4.733
Zr 4.733 4.733 8.715
Zr 3.906 7.888 7.888
Zr 7.888 11.870 7.888
Zr 7.888 7.888 11.870
Ag 6.310 3.155 3.155
Ag 3.647 3.647 3.647
Ag 5.819 5.819 3.647
Ag 5.819 3.647 5.819
Ag 8.974 6.802 6.802
Ag 3.155 6.310 3.155
Ag 3.155 3.155 6.310
Ag 6.310 6.310 6.310
Ag 3.647 5.819 5.819
Ag 6.802 8.974 6.802
Ag 6.802 6.802 8.974
Ag 8.974 8.974 8.974
C 0.000 0.000 0.000
C 3.155 3.155 0.000
C 3.155 0.000 3.155
C 0.000 3.155 3.155
```



Please write out number 1 again, unchanged.
The following is a simulated powder X-ray diffraction pattern of YSb6Pd12. It was derived from DFT lattice parameters and positions (GGA-PBE), using Cu Kα (λ = 1.5418 Å).

Top 10 peaks for 2θ = 10–90°, sorted by position:
2θ/deg, intensity
24.6, 25
30.1, 27
32.4, 67
33.3, 35
38.8, 84
39.6, 100
42.7, 38
43.8, 48
47.9, 66
76.5, 32

Structural model:
```
19
Lattice="6.044 3.490 3.001 -6.044 3.490 3.001 0.000 -6.979 3.001" Properties=species:S:1:pos:R:3 pbc="T T T"
Y 0.000 0.000 0.000
Sb 0.000 -2.868 3.631
Sb -2.484 1.434 3.631
Sb -2.484 -1.434 5.370
Sb 2.484 1.434 3.631
Sb 2.484 -1.434 5.370
Sb 0.000 2.868 5.370
Pd -1.448 -0.836 2.478
Pd -2.288 -3.963 4.501
Pd -4.576 0.000 4.501
Pd 1.448 -0.836 2.478
Pd 0.000 1.672 2.478
Pd 2.288 -3.963 4.501
Pd -2.288 3.963 4.501
Pd 0.000 -1.672 6.524
Pd -1.448 0.836 6.524
Pd 4.576 0.000 4.501
Pd 2.288 3.963 4.501
Pd 1.448 0.836 6.524
```



What did the third record say?
The following is a simulated powder X-ray diffraction pattern of Zr3Ag3C. It was derived from DFT lattice parameters and positions (GGA-PBE), using Cu Kα (λ = 1.5418 Å).

Top 10 peaks for 2θ = 10–90°, sorted by position:
2θ/deg, intensity
12.1, 10
30.9, 7
34.8, 28
37.0, 100
40.4, 26
43.0, 11
62.4, 30
63.9, 8
68.1, 6
74.9, 19

Structural model:
```
28
Lattice="0.000 6.310 6.310 6.310 0.000 6.310 6.310 6.310 0.000" Properties=species:S:1:pos:R:3 pbc="T T T"
Zr 4.733 4.733 0.750
Zr 4.733 0.750 4.733
Zr 8.715 4.733 4.733
Zr 7.888 7.888 3.906
Zr 7.888 3.906 7.888
Zr 11.870 7.888 7.888
Zr 0.750 4.733 4.733
Zr 4.733 8.715 4.733
Zr 4.733 4.733 8.715
Zr 3.906 7.888 7.888
Zr 7.888 11.870 7.888
Zr 7.888 7.888 11.870
Ag 6.310 3.155 3.155
Ag 3.647 3.647 3.647
Ag 5.819 5.819 3.647
Ag 5.819 3.647 5.819
Ag 8.974 6.802 6.802
Ag 3.155 6.310 3.155
Ag 3.155 3.155 6.310
Ag 6.310 6.310 6.310
Ag 3.647 5.819 5.819
Ag 6.802 8.974 6.802
Ag 6.802 6.802 8.974
Ag 8.974 8.974 8.974
C 0.000 0.000 0.000
C 3.155 3.155 0.000
C 3.155 0.000 3.155
C 0.000 3.155 3.155
```